Simulated powder diffractogram
Compound: Ho4Ga3Ge
Radiation: copper Kα
Structure: a cell relaxed with PBE
Peak positions follow from Bragg's law for the DFT cell and can differ from measured ones.

Peak list (10 most intense, 2θ = 10–90°, most intense first)
2θ 31.6, d 2.835, intensity 100, hkl 1 1 1; 2θ 39.6, d 2.274, intensity 50, hkl 1 1 3; 2θ 32.4, d 2.766, intensity 40, hkl 0 1 3; 2θ 33.3, d 2.694, intensity 28, hkl 0 0 4; 2θ 27.8, d 3.210, intensity 26, hkl 1 0 2; 2θ 41.7, d 2.167, intensity 26, hkl 0 2 0; 2θ 45.4, d 1.999, intensity 20, hkl 2 0 0; 2θ 56.8, d 1.620, intensity 16, hkl 2 1 3; 2θ 40.4, d 2.234, intensity 16, hkl 1 0 4; 2θ 63.3, d 1.469, intensity 15, hkl 2 2 0

Structural model:
```
data_Ho4Ga3Ge
_cell_length_a 3.9972
_cell_length_b 4.3333
_cell_length_c 10.7766
_cell_angle_alpha 90.00
_cell_angle_beta 90.00
_cell_angle_gamma 90.00
_symmetry_space_group_name_H-M 'P m m 2'
_symmetry_Int_Tables_number 25
loop_
_symmetry_equiv_pos_as_xyz
'x,y,z'
'-x,-y,z'
'-x,y,z'
'x,-y,z'
loop_
_atom_site_label
_atom_site_type_symbol
_atom_site_fract_x
_atom_site_fract_y
_atom_site_fract_z
Ho1 Ho 0.0000 0.0000 0.0000
Ho2 Ho 0.0000 0.5000 0.4990
Ho3 Ho 0.5000 0.0000 0.2777
Ho4 Ho 0.5000 0.5000 0.7789
Ga1 Ga 0.0000 0.0000 0.7187
Ga2 Ga 0.0000 0.5000 0.2173
Ga3 Ga 0.5000 0.0000 0.5613
Ge1 Ge 0.5000 0.5000 0.0589
```

***

Simulated powder diffractogram
Compound: LiDy3Tm3Se8
Radiation: copper Kα
Structure: a cell relaxed with PBE
Peak positions follow from Bragg's law for the DFT cell and can differ from measured ones.

Peak list (10 most intense, 2θ = 10–90°, most intense first)
2θ 31.5, d 2.845, intensity 100, hkl 0 2 4; 2θ 45.1, d 2.011, intensity 74, hkl 2 2 0; 2θ 15.6, d 5.689, intensity 21, hkl 0 1 2; 2θ 56.0, d 1.641, intensity 19, hkl 4 0 4; 2θ 22.1, d 4.023, intensity 19, hkl 1 1 0; 2θ 83.2, d 1.161, intensity 19, hkl 6 0 0; 2θ 74.7, d 1.271, intensity 17, hkl 2 4 4; 2θ 74.5, d 1.273, intensity 16, hkl 2 2 12; 2θ 65.6, d 1.422, intensity 12, hkl 0 4 8; 2θ 35.3, d 2.544, intensity 12, hkl 1 2 2

Structural model:
```
data_LiDy3Tm3Se8
_cell_length_a 8.0390
_cell_length_b 8.0390
_cell_length_c 19.7394
_cell_angle_alpha 90.00
_cell_angle_beta 90.00
_cell_angle_gamma 120.00
_symmetry_space_group_name_H-M 'R -3 m'
_symmetry_Int_Tables_number 166
_symmetry_space_group_name_Hall '-R 3 2"'
loop_
_atom_site_label
_atom_site_type_symbol
_atom_site_fract_x
_atom_site_fract_y
_atom_site_fract_z
Li1 Li 0.0000 0.0000 0.0000
Dy1 Dy 0.0000 0.5000 0.5000
Tm1 Tm 0.0000 0.5000 0.0000
Se1 Se 0.0000 0.0000 0.2515
Se2 Se 0.0011 0.5005 0.7481
```

***

Simulated powder diffractogram
Compound: HoMg3Au
Radiation: copper Kα
Structure: a cell relaxed with PBE
Peak positions follow from Bragg's law for the DFT cell and can differ from measured ones.

Peak list (10 most intense, 2θ = 10–90°, most intense first)
2θ 32.6, d 2.748, intensity 100, hkl 1 1 3; 2θ 16.9, d 5.232, intensity 77, hkl 1 0 2; 2θ 29.6, d 3.016, intensity 73, hkl 2 1 0; 2θ 32.9, d 2.721, intensity 43, hkl 2 1 2; 2θ 35.8, d 2.509, intensity 39, hkl 3 0 3; 2θ 39.5, d 2.283, intensity 39, hkl 3 1 2; 2θ 14.0, d 6.304, intensity 37, hkl 0 0 2; 2θ 23.2, d 3.835, intensity 30, hkl 1 0 3; 2θ 23.7, d 3.761, intensity 30, hkl 0 1 1; 2θ 43.7, d 2.071, intensity 30, hkl 1 1 5

Structural model:
```
data_HoMg3Au
_cell_length_a 9.3807
_cell_length_b 3.9387
_cell_length_c 12.6078
_cell_angle_alpha 90.00
_cell_angle_beta 90.00
_cell_angle_gamma 90.00
_symmetry_space_group_name_H-M 'P n m a'
_symmetry_Int_Tables_number 62
loop_
_symmetry_equiv_pos_as_xyz
'x,y,z'
'-x,-y,-z'
'-x+1/2,-y,z+1/2'
'x+1/2,y,-z+1/2'
'x+1/2,-y+1/2,-z+1/2'
'-x+1/2,y+1/2,z+1/2'
'-x,y+1/2,-z'
'x,-y+1/2,z'
loop_
_atom_site_label
_atom_site_type_symbol
_atom_site_fract_x
_atom_site_fract_y
_atom_site_fract_z
Ho1 Ho 0.1709 0.2500 0.0072
Mg1 Mg 0.0561 0.2500 0.4147
Mg2 Mg 0.0853 0.7500 0.2201
Mg3 Mg 0.1620 0.7500 0.7875
Au1 Au 0.1480 0.2500 0.6258
```

***

Simulated powder diffractogram
Compound: AcGaPtAu2
Radiation: copper Kα
Structure: a cell relaxed with PBE
Peak positions follow from Bragg's law for the DFT cell and can differ from measured ones.

Peak list (10 most intense, 2θ = 10–90°, most intense first)
2θ 33.2, d 2.702, intensity 100, hkl 1 1 2; 2θ 30.6, d 2.923, intensity 40, hkl 1 0 3; 2θ 41.2, d 2.190, intensity 38, hkl 0 1 5; 2θ 40.9, d 2.206, intensity 34, hkl 0 2 0; 2θ 41.6, d 2.170, intensity 30, hkl 1 1 4; 2θ 29.3, d 3.044, intensity 29, hkl 0 1 3; 2θ 44.6, d 2.034, intensity 27, hkl 2 0 0; 2θ 42.2, d 2.144, intensity 23, hkl 1 0 5; 2θ 29.9, d 2.991, intensity 23, hkl 1 1 0; 2θ 62.3, d 1.490, intensity 23, hkl 2 1 5

Structural model:
```
data_AcGaPtAu2
_cell_length_a 4.0672
_cell_length_b 4.4129
_cell_length_c 12.6129
_cell_angle_alpha 90.00
_cell_angle_beta 90.00
_cell_angle_gamma 90.00
_symmetry_space_group_name_H-M 'I m m 2'
_symmetry_Int_Tables_number 44
loop_
_symmetry_equiv_pos_as_xyz
'x,y,z'
'-x,-y,z'
'-x,y,z'
'x,-y,z'
'x+1/2,y+1/2,z+1/2'
'-x+1/2,-y+1/2,z+1/2'
'-x+1/2,y+1/2,z+1/2'
'x+1/2,-y+1/2,z+1/2'
loop_
_atom_site_label
_atom_site_type_symbol
_atom_site_fract_x
_atom_site_fract_y
_atom_site_fract_z
Ac1 Ac 0.0000 0.0000 0.0000
Ga1 Ga 0.0000 0.5000 0.7642
Pt1 Pt 0.0000 0.0000 0.4021
Au1 Au 0.0000 0.0000 0.6190
Au2 Au 0.0000 0.5000 0.2701
```

***

Simulated powder diffractogram
Compound: Tb12CeSm6
Radiation: copper Kα
Structure: a cell relaxed with PBE
Peak positions follow from Bragg's law for the DFT cell and can differ from measured ones.

Peak list (10 most intense, 2θ = 10–90°, most intense first)
2θ 31.8, d 2.810, intensity 100, hkl 4 0 1; 2θ 31.7, d 2.827, intensity 66, hkl 0 3 3; 2θ 31.4, d 2.848, intensity 55, hkl 3 1 2; 2θ 29.6, d 3.018, intensity 49, hkl 1 0 4; 2θ 34.2, d 2.619, intensity 39, hkl 0 4 2; 2θ 56.8, d 1.621, intensity 27, hkl 4 3 4; 2θ 34.5, d 2.602, intensity 27, hkl 2 2 3; 2θ 34.6, d 2.589, intensity 26, hkl 3 2 1; 2θ 55.2, d 1.665, intensity 24, hkl 4 4 0; 2θ 28.8, d 3.099, intensity 24, hkl 1 3 1

Structural model:
```
data_Tb12CeSm6
_cell_length_a 13.3183
_cell_length_b 13.3183
_cell_length_c 12.5099
_cell_angle_alpha 90.00
_cell_angle_beta 90.00
_cell_angle_gamma 120.00
_symmetry_space_group_name_H-M 'R -3 m'
_symmetry_Int_Tables_number 166
_symmetry_space_group_name_Hall '-R 3 2"'
loop_
_atom_site_label
_atom_site_type_symbol
_atom_site_fract_x
_atom_site_fract_y
_atom_site_fract_z
Tb1 Tb 0.0000 0.2570 0.0000
Tb2 Tb 0.0909 0.1819 0.7617
Ce1 Ce 0.0000 0.0000 0.5000
Sm1 Sm 0.0409 0.5205 0.1190
```

***

Simulated powder diffractogram
Compound: ZrTiIrPd
Radiation: copper Kα
Structure: a cell relaxed with PBE
Peak positions follow from Bragg's law for the DFT cell and can differ from measured ones.

Peak list (10 most intense, 2θ = 10–90°, most intense first)
2θ 38.5, d 2.338, intensity 100, hkl 1 1 2; 2θ 42.2, d 2.142, intensity 39, hkl 2 0 0; 2θ 74.7, d 1.271, intensity 28, hkl 3 1 2; 2θ 67.1, d 1.395, intensity 19, hkl 2 0 4; 2θ 24.0, d 3.702, intensity 15, hkl 1 0 1; 2θ 29.5, d 3.029, intensity 13, hkl 1 1 0; 2θ 61.2, d 1.515, intensity 13, hkl 2 2 0; 2θ 49.6, d 1.839, intensity 12, hkl 0 0 4; 2θ 49.2, d 1.852, intensity 11, hkl 2 0 2; 2θ 82.5, d 1.169, intensity 11, hkl 2 2 4

Structural model:
```
data_ZrTiIrPd
_cell_length_a 4.2844
_cell_length_b 4.2844
_cell_length_c 7.3565
_cell_angle_alpha 90.00
_cell_angle_beta 90.00
_cell_angle_gamma 90.00
_symmetry_space_group_name_H-M 'I -4 m 2'
_symmetry_Int_Tables_number 119
_symmetry_space_group_name_Hall 'I -4 -2'
loop_
_atom_site_label
_atom_site_type_symbol
_atom_site_fract_x
_atom_site_fract_y
_atom_site_fract_z
Zr1 Zr 0.0000 0.0000 0.0000
Ti1 Ti 0.0000 0.0000 0.5000
Ir1 Ir 0.0000 0.5000 0.7500
Pd1 Pd 0.0000 0.5000 0.2500
```

***

Simulated powder diffractogram
Compound: TmHgBi2
Radiation: copper Kα
Structure: a cell relaxed with PBE
Peak positions follow from Bragg's law for the DFT cell and can differ from measured ones.

Peak list (10 most intense, 2θ = 10–90°, most intense first)
2θ 31.5, d 2.842, intensity 100, hkl 0 1 5; 2θ 37.4, d 2.403, intensity 84, hkl 1 1 0; 2θ 39.0, d 2.310, intensity 42, hkl 1 0 7; 2θ 23.2, d 3.827, intensity 42, hkl 0 1 2; 2θ 49.7, d 1.835, intensity 29, hkl 2 0 5; 2θ 63.8, d 1.458, intensity 27, hkl 1 2 5; 2θ 70.0, d 1.343, intensity 24, hkl 1 1 12; 2θ 28.2, d 3.162, intensity 20, hkl 1 0 4; 2θ 21.8, d 4.070, intensity 19, hkl 1 0 1; 2θ 68.5, d 1.369, intensity 17, hkl 2 1 7

Structural model:
```
data_TmHgBi2
_cell_length_a 4.8067
_cell_length_b 4.8067
_cell_length_c 19.4430
_cell_angle_alpha 90.00
_cell_angle_beta 90.00
_cell_angle_gamma 120.00
_symmetry_space_group_name_H-M 'R 3 m'
_symmetry_Int_Tables_number 160
_symmetry_space_group_name_Hall 'R 3 -2"'
loop_
_atom_site_label
_atom_site_type_symbol
_atom_site_fract_x
_atom_site_fract_y
_atom_site_fract_z
Tm1 Tm 0.0000 0.0000 0.0000
Hg1 Hg 0.0000 0.0000 0.8347
Bi1 Bi 0.0000 0.0000 0.4102
Bi2 Bi 0.0000 0.0000 0.5903
```

***

Simulated powder diffractogram
Compound: KCd4Au4
Radiation: copper Kα
Structure: a cell relaxed with PBE
Peak positions follow from Bragg's law for the DFT cell and can differ from measured ones.

Peak list (10 most intense, 2θ = 10–90°, most intense first)
2θ 13.2, d 6.706, intensity 100, hkl 1 1 0; 2θ 29.8, d 2.999, intensity 84, hkl 3 1 0; 2θ 42.7, d 2.117, intensity 81, hkl 4 1 1; 2θ 38.0, d 2.367, intensity 70, hkl 4 0 0; 2θ 18.7, d 4.742, intensity 60, hkl 2 0 0; 2θ 44.1, d 2.055, intensity 55, hkl 3 0 2; 2θ 34.5, d 2.600, intensity 46, hkl 1 0 2; 2θ 40.3, d 2.235, intensity 43, hkl 3 3 0; 2θ 26.7, d 3.337, intensity 35, hkl 1 2 1; 2θ 33.1, d 2.704, intensity 31, hkl 0 0 2

Structural model:
```
data_KCd4Au4
_cell_length_a 9.4844
_cell_length_b 9.4844
_cell_length_c 5.4079
_cell_angle_alpha 90.00
_cell_angle_beta 90.00
_cell_angle_gamma 90.00
_symmetry_space_group_name_H-M 'P 42/n'
_symmetry_Int_Tables_number 86
loop_
_symmetry_equiv_pos_as_xyz
'x,y,z'
'-x,-y,-z'
'-y,x+1/2,z+1/2'
'y,-x+1/2,-z+1/2'
'-x+1/2,-y+1/2,z'
'x+1/2,y+1/2,-z'
'y+1/2,-x,z+1/2'
'-y+1/2,x,-z+1/2'
loop_
_atom_site_label
_atom_site_type_symbol
_atom_site_fract_x
_atom_site_fract_y
_atom_site_fract_z
K1 K 0.2500 0.2500 0.2500
Cd1 Cd 0.1299 0.6311 0.1752
Au1 Au 0.0696 0.9248 0.1823
```

***

Simulated powder diffractogram
Compound: TbPrY2S6
Radiation: copper Kα
Structure: a cell relaxed with PBE
Peak positions follow from Bragg's law for the DFT cell and can differ from measured ones.

Peak list (10 most intense, 2θ = 10–90°, most intense first)
2θ 24.1, d 3.696, intensity 100, hkl 1 0 4; 2θ 25.4, d 3.508, intensity 89, hkl 1 1 0; 2θ 38.7, d 2.325, intensity 84, hkl 2 -1 6; 2θ 17.4, d 5.089, intensity 56, hkl 0 1 2; 2θ 44.7, d 2.026, intensity 54, hkl 3 0 0; 2θ 35.3, d 2.544, intensity 52, hkl 0 2 4; 2θ 44.0, d 2.060, intensity 50, hkl 3 -1 4; 2θ 51.3, d 1.781, intensity 26, hkl 1 0 10; 2θ 29.2, d 3.054, intensity 24, hkl 2 -1 3; 2θ 78.4, d 1.219, intensity 23, hkl 2 0 14

Structural model:
```
data_TbPrY2S6
_cell_length_a 7.0167
_cell_length_b 7.0167
_cell_length_c 18.6239
_cell_angle_alpha 90.00
_cell_angle_beta 90.00
_cell_angle_gamma 120.00
_symmetry_space_group_name_H-M 'R 3'
_symmetry_Int_Tables_number 146
_symmetry_space_group_name_Hall 'R 3'
loop_
_atom_site_label
_atom_site_type_symbol
_atom_site_fract_x
_atom_site_fract_y
_atom_site_fract_z
Tb1 Tb 0.0000 0.0000 0.0000
Pr1 Pr 0.0000 0.0000 0.5058
Y1 Y 0.0000 0.0000 0.3006
Y2 Y 0.0000 0.0000 0.7972
S1 S 0.0048 0.3057 0.3973
S2 S 0.0212 0.7172 0.8980
```

***

Simulated powder diffractogram
Compound: PmSm5
Radiation: copper Kα
Structure: a cell relaxed with PBE
Peak positions follow from Bragg's law for the DFT cell and can differ from measured ones.

Peak list (10 most intense, 2θ = 10–90°, most intense first)
2θ 30.1, d 2.965, intensity 100, hkl 1 3 1; 2θ 34.9, d 2.568, intensity 51, hkl 2 0 0; 2θ 50.3, d 1.816, intensity 36, hkl 2 6 0; 2θ 59.7, d 1.549, intensity 29, hkl 1 9 1; 2θ 81.7, d 1.178, intensity 18, hkl 3 9 1; 2θ 59.8, d 1.547, intensity 14, hkl 3 3 1; 2θ 62.7, d 1.482, intensity 12, hkl 2 6 2; 2θ 84.4, d 1.148, intensity 11, hkl 4 6 0; 2θ 84.2, d 1.150, intensity 5, hkl 2 12 0; 2θ 73.9, d 1.283, intensity 4, hkl 4 0 0

Structural model:
```
data_PmSm5
_cell_length_a 5.1307
_cell_length_b 15.4291
_cell_length_c 5.1326
_cell_angle_alpha 90.00
_cell_angle_beta 90.00
_cell_angle_gamma 90.00
_symmetry_space_group_name_H-M 'C m m m'
_symmetry_Int_Tables_number 65
_symmetry_space_group_name_Hall '-C 2 2'
loop_
_atom_site_label
_atom_site_type_symbol
_atom_site_fract_x
_atom_site_fract_y
_atom_site_fract_z
Pm1 Pm 0.0000 0.0000 0.0000
Sm1 Sm 0.0000 0.1668 0.5000
Sm2 Sm 0.0000 0.3332 0.0000
Sm3 Sm 0.0000 0.5000 0.5000
```